# 1
The following is a calculated powder X-ray diffraction pattern of LaCe2Co9. It was derived from a DFT-relaxed cell (GGA-PBE, Alexandria), using Cu Kα, 1.54184 Å.
Intensities are scaled so that the largest is 1000.

The 10 most intense peaks (2θ from 15° to 90°), sorted by position:
d [Å]	2θ (°)	I_rel
2.732	32.78	491
2.513	35.73	409
2.477	36.27	521
2.137	42.30	394
2.125	42.55	1000
1.996	45.44	160
1.969	46.11	175
1.474	63.05	146
1.351	69.57	217
1.238	77.01	219

Cell and atoms:
Unit cell a=8.7490 b=8.7490 c=8.7490 alpha=32.89 beta=32.89 gamma=32.89
Positions (direct):
1 La 0.0000 0.0000 0.0000
2 Ce 0.1391 0.1391 0.1391
3 Ce 0.8609 0.8609 0.8609
4 Co 0.0831 0.5806 0.5806
5 Co 0.3326 0.3326 0.3326
6 Co 0.4194 0.4194 0.9169
7 Co 0.4194 0.9169 0.4194
8 Co 0.5000 0.5000 0.5000
9 Co 0.5806 0.0831 0.5806
10 Co 0.5806 0.5806 0.0831
11 Co 0.6674 0.6674 0.6674
12 Co 0.9169 0.4194 0.4194

=====

# 2
The following is a calculated powder X-ray diffraction pattern of La3CeCo2. It was derived from a DFT-relaxed cell (GGA-PBE, Alexandria), using Cu Kα, 1.54184 Å.
Intensities are scaled so that the largest is 1000.

The 10 most intense peaks (2θ from 15° to 90°), sorted by position:
d [Å]	2θ (°)	I_rel
3.253	27.42	1000
3.210	27.79	502
3.112	28.68	439
2.821	31.72	859
2.773	32.29	804
2.736	32.73	765
2.003	45.27	300
1.989	45.61	604
1.953	46.51	287
1.626	56.59	323

Cell and atoms:
Unit cell a=3.9815 b=6.7078 c=6.7434 alpha=96.50 beta=106.45 gamma=90.33
Positions (direct):
1 La 0.0000 0.0000 0.0000
2 La 0.2605 0.7399 0.5145
3 La 0.7395 0.2601 0.4855
4 Ce 0.5000 0.5000 0.0000
5 Co 0.1119 0.3768 0.2133
6 Co 0.8881 0.6232 0.7867

=====

# 3
The following is a calculated powder X-ray diffraction pattern of LaCe2Co2. It was derived from a DFT-relaxed cell (GGA-PBE, Alexandria), using Cu Kα, 1.54184 Å.
Intensities are scaled so that the largest is 1000.

The 10 most intense peaks (2θ from 15° to 90°), sorted by position:
d [Å]	2θ (°)	I_rel
5.684	15.59	318
2.954	30.26	864
2.842	31.48	232
2.692	33.29	695
2.362	38.10	728
1.988	45.64	1000
1.661	55.29	177
1.482	62.69	162
1.413	66.12	330
1.212	79.02	211

Cell and atoms:
Unit cell a=5.3834 b=6.9155 c=5.6836 alpha=90.00 beta=90.00 gamma=90.00
Positions (direct):
1 La 0.0000 0.0000 0.0000
2 La 0.5000 0.5000 0.0000
3 Ce 0.0000 0.2086 0.5000
4 Ce 0.0000 0.7914 0.5000
5 Ce 0.5000 0.2914 0.5000
6 Ce 0.5000 0.7086 0.5000
7 Co 0.0000 0.5000 0.2538
8 Co 0.0000 0.5000 0.7462
9 Co 0.5000 0.0000 0.2538
10 Co 0.5000 0.0000 0.7462

=====

# 4
The following is a calculated powder X-ray diffraction pattern of LaCeCo5Ni5. It was derived from a DFT-relaxed cell (GGA-PBE, Alexandria), using Cu Kα, 1.54184 Å.
Intensities are scaled so that the largest is 1000.

The 10 most intense peaks (2θ from 15° to 90°), sorted by position:
d [Å]	2θ (°)	I_rel
2.923	30.59	732
2.461	36.52	298
2.140	42.22	389
2.126	42.52	164
2.107	42.92	521
2.097	43.14	1000
2.004	45.24	428
1.463	63.59	220
1.344	69.98	220
1.230	77.60	154

Cell and atoms:
Unit cell a=4.0090 b=4.9543 c=8.5050 alpha=90.00 beta=90.00 gamma=90.00
Positions (direct):
1 La 0.0000 0.0000 0.0000
2 Ce 0.0000 0.5000 0.5000
3 Co 0.0000 0.0000 0.3443
4 Co 0.0000 0.0000 0.6557
5 Co 0.0000 0.5000 0.1675
6 Co 0.0000 0.5000 0.8325
7 Co 0.5000 0.5000 0.0000
8 Ni 0.5000 0.0000 0.5000
9 Ni 0.5000 0.2521 0.2535
10 Ni 0.5000 0.2521 0.7465
11 Ni 0.5000 0.7479 0.2535
12 Ni 0.5000 0.7479 0.7465

=====

# 5
The following is a calculated powder X-ray diffraction pattern of LaCePmCo. It was derived from a DFT-relaxed cell (GGA-PBE, Alexandria), using Cu Kα, 1.54184 Å.
Intensities are scaled so that the largest is 1000.

The 10 most intense peaks (2θ from 15° to 90°), sorted by position:
d [Å]	2θ (°)	I_rel
3.234	27.58	497
3.145	28.37	309
3.060	29.19	391
2.668	33.59	1000
2.255	39.98	353
1.906	47.72	153
1.868	48.74	251
1.866	48.82	125
1.630	56.45	190
1.606	57.37	216

Cell and atoms:
Unit cell a=3.7311 b=3.7342 c=9.4362 alpha=90.00 beta=89.97 gamma=60.11
Positions (direct):
1 La 0.0000 0.0000 0.0000
2 Ce 0.6661 0.6613 0.3142
3 Pm 0.6668 0.6636 0.6761
4 Co 0.0005 0.9972 0.4685

=====

# 6
The following is a calculated powder X-ray diffraction pattern of Ce4MgCo4. It was derived from a DFT-relaxed cell (GGA-PBE, Alexandria), using Cu Kα, 1.54184 Å.
Intensities are scaled so that the largest is 1000.

The 10 most intense peaks (2θ from 15° to 90°), sorted by position:
d [Å]	2θ (°)	I_rel
5.268	16.83	809
3.105	28.75	473
2.814	31.80	1000
2.638	33.99	354
2.354	38.24	692
2.155	41.93	332
2.149	42.05	346
2.067	43.79	479
1.756	52.08	338
1.589	58.04	440

Cell and atoms:
Unit cell a=6.6569 b=6.6569 c=8.6180 alpha=90.00 beta=90.00 gamma=90.00
Positions (direct):
1 Ce 0.0182 0.2500 0.1129
2 Ce 0.2500 0.0182 0.6129
3 Ce 0.2500 0.4818 0.6129
4 Ce 0.4818 0.2500 0.1129
5 Ce 0.5182 0.7500 0.8871
6 Ce 0.7500 0.5182 0.3871
7 Ce 0.7500 0.9818 0.3871
8 Ce 0.9818 0.7500 0.8871
9 Mg 0.2500 0.7500 0.2500
10 Mg 0.7500 0.2500 0.7500
11 Co 0.0706 0.2500 0.3785
12 Co 0.2500 0.0706 0.8785
13 Co 0.2500 0.4294 0.8785
14 Co 0.4294 0.2500 0.3785
15 Co 0.5706 0.7500 0.6215
16 Co 0.7500 0.5706 0.1215
17 Co 0.7500 0.9294 0.1215
18 Co 0.9294 0.7500 0.6215

=====

# 7
The following is a calculated powder X-ray diffraction pattern of CeMnCo. It was derived from a DFT-relaxed cell (GGA-PBE, Alexandria), using Cu Kα, 1.54184 Å.
Intensities are scaled so that the largest is 1000.

The 10 most intense peaks (2θ from 15° to 90°), sorted by position:
d [Å]	2θ (°)	I_rel
4.173	21.29	163
2.637	34.00	319
2.517	35.68	548
2.229	40.46	1000
2.087	43.35	641
1.498	61.93	219
1.431	65.18	211
1.430	65.25	111
1.320	71.45	143
1.258	75.56	192

Cell and atoms:
Unit cell a=5.2700 b=5.2791 c=6.8200 alpha=90.00 beta=90.00 gamma=90.00
Positions (direct):
1 Ce 0.0000 0.2500 0.1359
2 Ce 0.0000 0.7500 0.8641
3 Ce 0.5000 0.2500 0.3641
4 Ce 0.5000 0.7500 0.6359
5 Mn 0.2500 0.2500 0.7500
6 Mn 0.2500 0.7500 0.2500
7 Mn 0.7500 0.2500 0.7500
8 Mn 0.7500 0.7500 0.2500
9 Co 0.0000 0.0000 0.5000
10 Co 0.0000 0.5000 0.5000
11 Co 0.5000 0.0000 0.0000
12 Co 0.5000 0.5000 0.0000

=====

# 8
The following is a calculated powder X-ray diffraction pattern of CeMn5Co7. It was derived from a DFT-relaxed cell (GGA-PBE, Alexandria), using Cu Kα, 1.54184 Å.
Intensities are scaled so that the largest is 1000.

The 10 most intense peaks (2θ from 15° to 90°), sorted by position:
d [Å]	2θ (°)	I_rel
2.388	37.66	326
2.373	37.91	374
2.309	39.01	292
2.093	43.22	471
2.075	43.63	452
2.070	43.73	723
2.064	43.85	782
2.020	44.87	1000
1.818	50.19	441
1.281	73.98	291

Cell and atoms:
Unit cell a=6.3303 b=6.3303 c=6.3303 alpha=137.21 beta=98.09 gamma=97.21
Positions (direct):
1 Ce 0.0000 0.0000 0.0000
2 Mn 0.4966 0.4951 0.5026
3 Mn 0.4966 0.9940 0.0015
4 Mn 0.7609 0.2609 0.5000
5 Mn 0.9925 0.4951 0.9985
6 Mn 0.9925 0.9940 0.4974
7 Co 0.2210 0.4946 0.7264
8 Co 0.2246 0.7246 0.5000
9 Co 0.3477 0.9919 0.3558
10 Co 0.3536 0.3536 0.0000
11 Co 0.6364 0.6364 0.0000
12 Co 0.6362 0.9919 0.6442
13 Co 0.7683 0.4946 0.2736